The following is a calculated powder XRD pattern of Tb2ErIn3CuAg2. It was derived from the PBE geometry in OQMD, using copper Kα.
No peak broadening, texture or thermal motion is included.

Cell and atoms:
Unit cell a=3.8688 b=13.4932 c=7.8209 alpha=90.00 beta=90.00 gamma=90.00
Space group Amm2 (No. 38)
One atom of each set of equivalent atoms:
Tb1 0.0000 0.2009 0.0000 [4 per cell]
Er1 0.0000 0.0000 0.6015 [2 per cell]
In1 0.5000 0.0000 0.9489 [2 per cell]
In2 0.5000 0.1255 0.3279 [4 per cell]
Cu1 0.0000 0.0000 0.2020 [2 per cell]
Ag1 0.5000 0.1649 0.7004 [4 per cell]

Most intense lines, 15° ≤ 2θ ≤ 90°, by angle:
index  2θ/deg  I_rel
1 3 1  32.6  100.0
0 4 2  35.1  33.2
1 2 2  35.2  58.7
1 4 0  35.3  23.0
0 3 3  40.0  22.0
0 6 0  40.1  10.8
1 1 3  42.4  12.1
2 0 0  47.0  19.3
1 5 3  54.4  11.7
2 4 2  60.0  20.3
2 3 3  63.4  16.3
1 7 3  64.8  16.7